[1]
Calculated PXRD pattern
Compound: SrBi5O9
Radiation: Cu Kα, 1.54184 Å
Structure: a cell relaxed with GGA-PBE

Structure:
```
SrBi5O9
1.0
4.066 0.000 0.000
-0.010 6.895 0.000
-2.012 -1.426 9.688
Sr Bi O
1 5 9
direct
0.000 0.000 0.000
0.152 0.416 0.306
0.336 0.101 0.671
0.494 0.502 0.001
0.651 0.876 0.320
0.835 0.604 0.663
0.042 0.380 0.085
0.161 0.092 0.295
0.196 0.737 0.388
0.330 0.433 0.653
0.442 0.148 0.885
0.548 0.832 0.100
0.626 0.516 0.255
0.836 0.939 0.673
0.945 0.638 0.876
```

Most intense lines, 10° ≤ 2θ ≤ 90°, by angle:
2θ/deg  intensity
25.58  21
26.26  32
27.62  71
28.13  100
28.99  39
29.98  52
44.57  25
45.34  44
47.96  29
53.21  23
53.31  22
54.57  26

---

[2]
Calculated PXRD pattern
Compound: SrTa2Bi2O9
Radiation: Cu Kα, 1.54184 Å
Structure: a cell relaxed with GGA-PBE

Structure:
```
SrTa2Bi2O9
1.0
14.926 -2.799 0.000
14.926 2.799 0.000
0.000 0.000 5.701
Sr Ta Bi O
2 4 4 18
direct
0.247 0.753 0.500
0.753 0.247 0.000
0.182 0.679 0.000
0.321 0.818 0.000
0.679 0.182 0.500
0.818 0.321 0.500
0.043 0.551 0.028
0.449 0.957 0.028
0.551 0.043 0.528
0.957 0.449 0.528
0.067 0.067 0.253
0.067 0.067 0.753
0.162 0.572 0.003
0.225 0.775 0.003
0.267 0.281 0.286
0.281 0.267 0.786
0.428 0.838 0.003
0.440 0.441 0.752
0.441 0.440 0.252
0.559 0.560 0.752
0.560 0.559 0.252
0.572 0.162 0.503
0.719 0.733 0.286
0.733 0.719 0.786
0.775 0.225 0.503
0.838 0.428 0.503
0.933 0.933 0.253
0.933 0.933 0.753
```

Most intense lines, 10° ≤ 2θ ≤ 90°, by angle:
2θ/deg  intensity
11.86  15
22.46  59
23.85  25
24.01  35
30.67  100
31.38  26
31.98  26
45.41  29
51.29  21
55.41  23
56.17  19
74.71  12

---

[3]
Calculated PXRD pattern
Compound: SrTa2Bi2O9
Radiation: Cu Kα, 1.54184 Å
Structure: a cell relaxed with GGA-PBE

Structure:
```
SrTa2Bi2O9
1.0
-1.968 1.968 12.585
1.968 -1.968 12.585
1.968 1.968 -12.585
Sr Ta Bi O
1 2 2 9
direct
0.000 0.000 0.000
0.415 0.415 0.000
0.585 0.585 0.000
0.201 0.201 0.000
0.799 0.799 0.000
0.076 0.576 0.500
0.250 0.750 0.500
0.339 0.339 0.000
0.424 0.924 0.500
0.500 0.500 0.000
0.576 0.076 0.500
0.661 0.661 0.000
0.750 0.250 0.500
0.924 0.424 0.500
```

Most intense lines, 10° ≤ 2θ ≤ 90°, by angle:
2θ/deg  intensity
24.99  10
28.79  100
32.16  39
35.67  10
43.40  7
46.12  22
48.78  20
52.68  10
55.28  34
59.63  10
72.58  7
87.40  8

---

[4]
Calculated PXRD pattern
Compound: SrTa2Bi2O9
Radiation: Cu Kα, 1.54184 Å
Structure: a cell relaxed with GGA-PBE

Structure:
```
SrTa2Bi2O9
1.0
5.594 0.000 0.000
0.000 12.754 2.808
0.000 -12.754 2.808
Sr Ta Bi O
2 4 4 18
direct
0.000 0.000 0.000
0.500 0.500 0.500
0.003 0.587 0.420
0.497 0.087 0.920
0.503 0.920 0.087
0.997 0.420 0.587
0.022 0.300 0.899
0.478 0.800 0.399
0.522 0.399 0.800
0.978 0.899 0.300
0.000 0.494 0.494
0.036 0.637 0.322
0.232 0.301 0.155
0.232 0.688 0.843
0.239 0.058 0.556
0.261 0.558 0.056
0.268 0.188 0.343
0.268 0.801 0.655
0.464 0.137 0.822
0.500 0.994 0.994
0.536 0.822 0.137
0.732 0.343 0.188
0.732 0.655 0.801
0.739 0.056 0.558
0.761 0.556 0.058
0.768 0.155 0.301
0.768 0.843 0.688
0.964 0.322 0.637
```

Most intense lines, 10° ≤ 2θ ≤ 90°, by angle:
2θ/deg  intensity
22.71  9
24.79  16
28.52  100
31.87  14
32.00  21
35.18  11
42.97  9
45.79  16
48.25  18
52.00  11
54.92  16
59.07  12

---

[5]
Calculated PXRD pattern
Compound: SrTa2Bi2O9
Radiation: Cu Kα, 1.54184 Å
Structure: a cell relaxed with GGA-PBE

Structure:
```
SrTa2Bi2O9
1.0
12.760 -2.801 0.000
12.760 2.801 0.000
0.000 0.000 5.614
Sr Ta Bi O
2 4 4 18
direct
0.249 0.751 0.500
0.751 0.249 0.000
0.170 0.665 0.995
0.335 0.830 0.995
0.665 0.170 0.495
0.830 0.335 0.495
0.085 0.515 0.590
0.485 0.915 0.590
0.515 0.085 0.090
0.915 0.485 0.090
0.070 0.100 0.221
0.100 0.070 0.721
0.172 0.518 0.975
0.201 0.799 0.979
0.231 0.267 0.305
0.267 0.231 0.805
0.423 0.445 0.244
0.445 0.423 0.744
0.482 0.828 0.975
0.518 0.172 0.475
0.555 0.577 0.244
0.577 0.555 0.744
0.733 0.769 0.305
0.769 0.733 0.805
0.799 0.201 0.479
0.828 0.482 0.475
0.900 0.930 0.221
0.930 0.900 0.721
```

Most intense lines, 10° ≤ 2θ ≤ 90°, by angle:
2θ/deg  intensity
22.69  9
24.77  16
28.50  100
31.92  34
35.16  10
42.94  9
45.76  15
48.22  17
51.98  11
54.81  22
57.79  9
59.03  11

---

[6]
Calculated PXRD pattern
Compound: Sr2TbBiO6
Radiation: Cu Kα, 1.54184 Å
Structure: a cell relaxed with GGA-PBE

Structure:
```
Sr2TbBiO6
1.0
8.551 0.000 0.000
0.000 8.551 0.000
0.000 0.000 8.551
Sr Tb Bi O
8 4 4 24
direct
0.250 0.250 0.250
0.250 0.250 0.750
0.250 0.750 0.250
0.250 0.750 0.750
0.750 0.250 0.250
0.750 0.250 0.750
0.750 0.750 0.250
0.750 0.750 0.750
0.000 0.000 0.000
0.000 0.500 0.500
0.500 0.000 0.500
0.500 0.500 0.000
0.000 0.000 0.500
0.000 0.500 0.000
0.500 0.000 0.000
0.500 0.500 0.500
0.036 0.545 0.757
0.036 0.955 0.743
0.045 0.243 0.536
0.045 0.257 0.964
0.243 0.536 0.045
0.243 0.964 0.455
0.257 0.536 0.455
0.257 0.964 0.045
0.455 0.243 0.964
0.455 0.257 0.536
0.464 0.545 0.743
0.464 0.955 0.757
0.536 0.045 0.243
0.536 0.455 0.257
0.545 0.743 0.464
0.545 0.757 0.036
0.743 0.036 0.955
0.743 0.464 0.545
0.757 0.036 0.545
0.757 0.464 0.955
0.955 0.743 0.036
0.955 0.757 0.464
0.964 0.045 0.257
0.964 0.455 0.243
```

Most intense lines, 10° ≤ 2θ ≤ 90°, by angle:
2θ/deg  intensity
17.97  2
20.78  21
29.55  100
36.40  2
42.28  27
47.55  10
52.42  46
61.33  16
65.49  4
69.53  19
77.31  5
84.86  24

---

[7]
Calculated PXRD pattern
Compound: Sr2TbBiO6
Radiation: Cu Kα, 1.54184 Å
Structure: a cell relaxed with GGA-PBE

Structure:
```
Sr2TbBiO6
1.0
0.000 4.311 4.311
4.311 0.000 4.311
4.311 4.311 0.000
Sr Tb Bi O
2 1 1 6
direct
0.250 0.250 0.250
0.750 0.750 0.750
0.000 0.000 0.000
0.500 0.500 0.500
0.256 0.256 0.744
0.256 0.744 0.256
0.256 0.744 0.744
0.744 0.256 0.256
0.744 0.256 0.744
0.744 0.744 0.256
```

Most intense lines, 10° ≤ 2θ ≤ 90°, by angle:
2θ/deg  intensity
17.82  2
20.61  23
29.30  100
41.92  30
47.15  10
51.96  42
60.78  19
64.90  5
68.88  19
76.57  6
80.31  2
84.01  22

---

[8]
Calculated PXRD pattern
Compound: Sr2Ti5Bi4O18
Radiation: Cu Kα, 1.54184 Å
Structure: a cell relaxed with GGA-PBE

Structure:
```
Sr2Ti5Bi4O18
1.0
5.508 0.000 0.000
-0.031 5.538 0.000
-0.035 -2.730 24.711
Sr Ti Bi O
4 10 8 36
direct
0.000 0.000 0.000
0.002 0.168 0.332
0.493 0.670 0.333
0.506 0.583 0.170
0.005 0.541 0.085
0.006 0.466 0.914
0.495 0.949 0.914
0.500 0.132 0.252
0.501 0.206 0.413
0.502 0.291 0.588
0.507 0.055 0.086
0.995 0.791 0.588
0.996 0.706 0.413
0.998 0.628 0.253
0.009 0.198 0.505
0.018 0.040 0.164
0.028 0.895 0.803
0.470 0.393 0.803
0.488 0.697 0.505
0.515 0.461 0.987
0.526 0.843 0.700
0.968 0.345 0.700
0.040 0.638 0.172
0.052 0.427 0.842
0.056 0.791 0.493
0.200 0.867 0.087
0.214 0.456 0.405
0.226 0.079 0.580
0.244 0.225 0.934
0.245 0.407 0.259
0.246 0.906 0.260
0.247 0.123 0.749
0.249 0.624 0.750
0.255 0.718 0.935
0.269 0.580 0.580
0.279 0.955 0.406
0.286 0.362 0.084
0.433 0.110 0.172
0.438 0.291 0.492
0.443 0.928 0.842
0.532 0.050 0.011
0.538 0.196 0.333
0.556 0.332 0.659
0.706 0.533 0.422
0.720 0.805 0.098
0.733 0.236 0.924
0.741 0.403 0.246
0.742 0.042 0.565
0.747 0.125 0.753
0.747 0.902 0.245
0.748 0.625 0.753
0.752 0.726 0.923
0.753 0.542 0.565
0.783 0.292 0.101
0.789 0.033 0.422
0.940 0.831 0.659
0.945 0.513 0.011
0.954 0.697 0.333
```

Most intense lines, 10° ≤ 2θ ≤ 90°, by angle:
2θ/deg  intensity
14.34  21
22.78  17
27.99  24
28.09  23
30.28  99
30.37  100
32.33  48
32.53  52
39.28  23
46.38  26
46.65  29
56.51  25